For Hg2BiSe2S, the PBE geometry in Alexandria gives the calculated XRD peak list in this record (λ = 1.5418 Å (Cu Kα)).
Neutral-atom scattering factors, no anomalous dispersion.

Structural model:
```
data_Hg2BiSe2S
_cell_length_a 12.5943
_cell_length_b 7.4021
_cell_length_c 7.7858
_cell_angle_alpha 90.00
_cell_angle_beta 90.00
_cell_angle_gamma 90.00
_symmetry_space_group_name_H-M 'C m c 21'
_symmetry_Int_Tables_number 36
loop_
_symmetry_equiv_pos_as_xyz
'x,y,z'
'-x,-y,z+1/2'
'-x,y,z'
'x,-y,z+1/2'
'x+1/2,y+1/2,z'
'-x+1/2,-y+1/2,z+1/2'
'-x+1/2,y+1/2,z'
'x+1/2,-y+1/2,z+1/2'
loop_
_atom_site_label
_atom_site_fract_x
_atom_site_fract_y
_atom_site_fract_z
Hg1 0.1659 0.2489 0.0000
Bi1 0.0000 0.2469 0.5280
Se1 0.1622 0.1023 0.3245
S1 0.0000 0.4367 0.8843
```

Top 6 peaks for 15 to 90 degrees two-theta, low angle first:
| 2θ/deg | d_spacing | Rel. int. | index |
| --- | --- | --- | --- |
| 22.84 | 3.893 | 30 | 0 0 2 |
| 24.05 | 3.701 | 30 | 0 2 0 |
| 26.97 | 3.306 | 100 | 3 1 1 |
| 33.41 | 2.682 | 36 | 0 2 2 |
| 42.74 | 2.115 | 44 | 3 1 3 |
| 44.13 | 2.052 | 42 | 3 3 1 |